[1]
Calculated X-ray diffraction stick pattern
Compound: BaGa2GeSe6
Radiation: Cu Kα
Structure: a DFT-relaxed cell (GGA-PBE, the Materials Project)

Largest 6 diffraction maxima, in order of falling intensity, 2θ = 10–90°:
2θ = 28.35°, I = 100, (1 -2 0)
2θ = 28.29°, I = 54, (0 1 -2)
2θ = 28.92°, I = 43, (1 1 1)
2θ = 47.83°, I = 34, (1 0 3)
2θ = 32.90°, I = 26, (-1 1 2)
2θ = 46.80°, I = 20, (2 1 -3)

Cell and atoms:
Lattice parameters (Å, degrees): 6.6378 6.6798 6.6809 100.30 100.66 99.85
Space group P1 (No. 1)
Inequivalent atoms, fractional coordinates:
Ba  0.0000  0.0000  0.0000 (multiplicity 1)
Ga  0.5491  0.4003  0.8241 (multiplicity 1)
Ga  0.8191  0.5425  0.4042 (multiplicity 1)
Ge  0.4017  0.8224  0.5471 (multiplicity 1)
Se  0.1407  0.5900  0.2664 (multiplicity 1)
Se  0.2614  0.1321  0.5841 (multiplicity 1)
Se  0.4532  0.7417  0.8852 (multiplicity 1)
Se  0.5865  0.2639  0.1382 (multiplicity 1)
Se  0.7366  0.8887  0.4578 (multiplicity 1)
Se  0.8895  0.4560  0.7431 (multiplicity 1)



[2]
Calculated X-ray diffraction stick pattern
Compound: BaGaH5
Radiation: Cu Kα
Structure: a DFT-relaxed cell (GGA-PBE, the Materials Project)

Largest 6 diffraction maxima, in order of falling intensity, 2θ = 10–90°:
2θ = 26.26°, I = 100, (1 0 1)
2θ = 27.05°, I = 87, (1 2 0)
2θ = 28.14°, I = 78, (0 2 1)
2θ = 46.14°, I = 36, (2 2 1)
2θ = 48.19°, I = 26, (1 2 2)
2θ = 35.80°, I = 25, (2 0 0)

Cell and atoms:
Lattice parameters (Å, degrees): 5.0167 8.7479 4.6067 90.00 90.00 90.00
Space group Pmn2_1 (No. 31)
Inequivalent atoms, fractional coordinates:
Ba  0.0000  0.1623  0.0000 (multiplicity 2)
Ga  0.0000  0.6426  0.9105 (multiplicity 2)
H  0.0000  0.4728  0.0226 (multiplicity 2)
H  0.0000  0.6617  0.5640 (multiplicity 2)
H  0.0000  0.9852  0.5039 (multiplicity 2)
H  0.2420  0.2636  0.5163 (multiplicity 4)



[3]
Calculated X-ray diffraction stick pattern
Compound: BaGa2H2
Radiation: Cu Kα
Structure: a DFT-relaxed cell (GGA-PBE, the Materials Project)

Largest 6 diffraction maxima, in order of falling intensity, 2θ = 10–90°:
2θ = 28.95°, I = 100, (1 0 1)
2θ = 39.43°, I = 41, (1 1 0)
2θ = 54.84°, I = 28, (1 1 2)
2θ = 49.65°, I = 22, (0 2 1)
2θ = 65.18°, I = 19, (2 1 1)
2θ = 36.53°, I = 15, (0 0 2)

Cell and atoms:
Lattice parameters (Å, degrees): 4.5705 4.5705 4.9192 90.00 90.00 120.00
Space group P-3m1 (No. 164)
Inequivalent atoms, fractional coordinates:
Ba  0.0000  0.0000  0.0000 (multiplicity 1)
Ga  0.3333  0.6667  0.5316 (multiplicity 2)
H  0.3333  0.6667  0.8755 (multiplicity 2)



Copy entry 3 word for word.
Calculated X-ray diffraction stick pattern
Compound: BaGa2H2
Radiation: Cu Kα
Structure: a DFT-relaxed cell (GGA-PBE, the Materials Project)

Largest 6 diffraction maxima, in order of falling intensity, 2θ = 10–90°:
2θ = 28.95°, I = 100, (1 0 1)
2θ = 39.43°, I = 41, (1 1 0)
2θ = 54.84°, I = 28, (1 1 2)
2θ = 49.65°, I = 22, (0 2 1)
2θ = 65.18°, I = 19, (2 1 1)
2θ = 36.53°, I = 15, (0 0 2)

Cell and atoms:
Lattice parameters (Å, degrees): 4.5705 4.5705 4.9192 90.00 90.00 120.00
Space group P-3m1 (No. 164)
Inequivalent atoms, fractional coordinates:
Ba  0.0000  0.0000  0.0000 (multiplicity 1)
Ga  0.3333  0.6667  0.5316 (multiplicity 2)
H  0.3333  0.6667  0.8755 (multiplicity 2)